No. 1
Calculated powder diffraction line list
Compound: NaNdIrO4
Radiation: Cu Kα X-rays
Structure: a PBE-relaxed structure

Structure:
a b c (Å): 6.554 7.250 9.033
angles (deg): 90.00 90.00 90.00
Space group Imma (No. 74)
Symmetry-distinct sites (fractional):
Na: 0.000 0.250 0.113 [4 per cell]
Nd: 0.000 0.000 0.500 [4 per cell]
Ir: 0.250 0.250 0.750 [4 per cell]
O: 0.000 0.074 0.759 [8 per cell]
O: 0.225 0.250 0.523 [8 per cell]

Principal peaks in the range 5 to 70 degrees two-theta, sorted by position:
Position (°2θ)	I_rel	index
15.67	100	0 1 1
16.71	39	1 0 1
29.85	28	1 2 1
31.60	75	0 2 2
32.19	21	0 1 3
33.80	31	2 0 2
36.98	42	2 2 0
39.92	18	0 0 4
47.84	18	2 3 1
55.55	31	2 2 4

---

No. 2
Calculated powder diffraction line list
Compound: Na4NiIr3Se8
Radiation: Cu Kα X-rays
Structure: a PBE-relaxed structure

Structure:
a b c (Å): 13.219 7.631 7.961
angles (deg): 90.00 123.60 90.00
Space group C2/m (No. 12)
Symmetry-distinct sites (fractional):
Na: 0.000 0.000 0.000 [2 per cell]
Na: 0.000 0.500 0.000 [2 per cell]
Na: 0.250 0.250 0.000 [4 per cell]
Ni: 0.000 0.000 0.500 [2 per cell]
Ir: 0.000 0.500 0.500 [2 per cell]
Ir: 0.250 0.250 0.500 [4 per cell]
Se: 0.021 0.247 0.315 [8 per cell]
Se: 0.228 0.000 0.686 [4 per cell]
Se: 0.229 0.500 0.687 [4 per cell]

Principal peaks in the range 5 to 70 degrees two-theta, sorted by position:
Position (°2θ)	I_rel	index
13.35	100	0 0 1
27.36	18	4 0 -1
32.53	96	4 0 0
41.93	32	2 2 -3
45.66	24	2 2 2
47.67	38	0 4 0
49.73	23	6 2 -3
58.15	15	2 2 3
58.90	17	4 4 0
65.33	9	8 0 -5

---

No. 3
Calculated powder diffraction line list
Compound: Na4NpIr3Se8
Radiation: Cu Kα X-rays
Structure: a PBE-relaxed structure

Structure:
a b c (Å): 13.293 7.674 8.281
angles (deg): 90.00 122.35 90.00
Space group C2/m (No. 12)
Symmetry-distinct sites (fractional):
Na: 0.000 0.000 0.000 [2 per cell]
Na: 0.000 0.500 0.000 [2 per cell]
Na: 0.250 0.250 0.000 [4 per cell]
Np: 0.000 0.000 0.500 [2 per cell]
Ir: 0.000 0.500 0.500 [2 per cell]
Ir: 0.250 0.250 0.500 [4 per cell]
Se: 0.021 0.273 0.291 [8 per cell]
Se: 0.227 0.500 0.679 [4 per cell]
Se: 0.248 0.500 0.291 [4 per cell]

Principal peaks in the range 5 to 70 degrees two-theta, sorted by position:
Position (°2θ)	I_rel	index
12.65	100	0 0 1
27.17	26	4 0 -1
31.88	93	4 0 0
40.52	27	2 2 -3
43.97	31	2 2 2
47.38	32	0 4 0
49.25	20	6 2 -3
55.52	18	4 0 -5
58.25	16	4 4 0
66.62	8	8 0 0

---

No. 4
Calculated powder diffraction line list
Compound: Na4IrO5
Radiation: Cu Kα X-rays
Structure: a PBE-relaxed structure

Structure:
a b c (Å): 7.337 7.337 4.843
angles (deg): 90.00 90.00 90.00
Space group I4 (No. 79)
Symmetry-distinct sites (fractional):
Na: 0.099 0.300 0.000 [8 per cell]
Ir: 0.000 0.000 0.460 [2 per cell]
O: 0.000 0.000 0.070 [2 per cell]
O: 0.078 0.251 0.508 [8 per cell]

Principal peaks in the range 5 to 70 degrees two-theta, sorted by position:
Position (°2θ)	I_rel	index
17.09	90	1 1 0
21.99	100	1 0 1
24.26	33	2 0 0
32.97	77	2 1 1
37.13	24	0 0 2
38.81	50	1 3 0
48.52	18	2 3 1
54.79	32	1 3 2
56.05	18	4 2 0
66.59	23	5 0 1

---

No. 5
Calculated powder diffraction line list
Compound: Na3IrO3
Radiation: Cu Kα X-rays
Structure: a PBE-relaxed structure

Structure:
a b c (Å): 7.4746 7.4746 4.7796
angles (deg): 90.00 90.00 120.00
Space group P6_3/m (No. 176)
Symmetry-distinct sites (fractional):
Na: 0.1750 0.8232 0.2500 [6 per cell]
Ir: 0.3333 0.6667 0.7500 [2 per cell]
O: 0.1881 0.8105 0.7500 [6 per cell]

Principal peaks in the range 5 to 70 degrees two-theta, sorted by position:
Position (°2θ)	I_rel	index
13.68	48	1 0 0
23.13	100	1 0 1
23.81	41	1 1 0
27.56	31	2 0 0
33.44	54	2 0 1
37.64	18	0 0 2
41.46	40	2 1 1
48.73	23	2 2 0
54.61	18	3 1 1
63.16	20	2 2 2

---

No. 6
Calculated powder diffraction line list
Compound: NaIr2O5
Radiation: Cu Kα X-rays
Structure: a PBE-relaxed structure

Structure:
a b c (Å): 3.968 10.247 9.711
angles (deg): 90.00 90.00 90.00
Space group Cmcm (No. 63)
Symmetry-distinct sites (fractional):
Na: 0.000 0.073 0.250 [4 per cell]
Ir: 0.000 0.359 0.061 [8 per cell]
O: 0.000 0.177 0.532 [8 per cell]
O: 0.000 0.296 0.250 [4 per cell]
O: 0.000 0.454 0.615 [8 per cell]

Principal peaks in the range 5 to 70 degrees two-theta, sorted by position:
Position (°2θ)	I_rel	index
18.27	100	0 0 2
19.59	34	0 2 1
24.05	84	1 1 0
25.77	38	1 1 1
30.37	53	1 1 2
32.73	81	0 2 3
34.65	51	1 3 0
36.90	45	1 1 3
57.37	33	2 2 3
58.13	35	1 5 3